[1]
The following is a theoretical X-ray diffraction stick pattern of HIBr. It was derived from the PBE geometry in Alexandria, using Cu Ka.

The 6 most intense peaks (10 to 80 degrees two-theta), by angle:
index  2θ/deg  I_rel
0 0 1  12.84  37.3
1 0 -1  17.50  33.7
1 -1 1  22.36  100.0
0 1 1  22.83  92.9
1 -2 0  28.01  51.4
1 1 -2  31.66  30.4

Lattice parameters (Å, degrees): 6.2083 6.3969 7.3625 94.43 105.69 117.05
Space group P1 (No. 1)
Inequivalent atoms, fractional coordinates:
H 0.0000 0.0000 0.0000 [1 per cell]
H 0.0825 0.4938 0.0722 [1 per cell]
I 0.2100 0.7596 0.2266 [1 per cell]
I 0.7968 0.5238 0.4228 [1 per cell]
Br 0.4471 0.3192 0.5793 [1 per cell]
Br 0.8611 0.0979 0.8777 [1 per cell]

[2]
The following is a theoretical X-ray diffraction stick pattern of LiPPd. It was derived from the PBE geometry in Alexandria, using Cu Ka.

The 6 most intense peaks (10 to 80 degrees two-theta), by angle:
index  2θ/deg  I_rel
0 2 0  17.48  100.0
1 1 0  31.33  28.4
0 2 2  34.14  36.3
1 3 0  40.37  31.7
1 1 2  43.27  58.7
0 4 2  46.44  21.6

Lattice parameters (Å, degrees): 2.9759 10.1461 6.1398 90.00 90.00 90.00
Space group Cmc2_1 (No. 36)
Inequivalent atoms, fractional coordinates:
Li 0.0000 0.1807 0.0000 [4 per cell]
P 0.0000 0.1156 0.5709 [4 per cell]
Pd 0.0000 0.4806 0.8022 [4 per cell]

[3]
The following is a theoretical X-ray diffraction stick pattern of Nd4MgS5. It was derived from the PBE geometry in Alexandria, using Cu Ka.

The 6 most intense peaks (10 to 80 degrees two-theta), by angle:
index  2θ/deg  I_rel
1 2 1  27.20  100.0
0 0 2  31.33  50.6
3 1 0  31.60  99.7
3 1 2  45.10  72.4
2 4 0  45.30  35.0
2 4 2  56.11  36.7

Lattice parameters (Å, degrees): 8.9535 8.9535 5.7100 90.00 90.00 90.00
Space group I4 (No. 79)
Inequivalent atoms, fractional coordinates:
Nd 0.0956 0.6958 0.0000 [8 per cell]
Mg 0.0000 0.0000 0.5164 [2 per cell]
S 0.0000 0.0000 0.9952 [2 per cell]
S 0.0952 0.7224 0.4999 [8 per cell]